(1)
For La10MgGa9O30, a structure optimized by DFT (GGA-PBE) gives the calculated XRD peak list in this record (CuKα).
Intensities are scaled so that the largest is 100.

Most intense lines, 2θ = 10–90°, low angle first:
| two_theta | I (rel.) |
| --- | --- |
| 22.53 | 19 |
| 31.83 | 97 |
| 32.31 | 100 |
| 45.99 | 58 |
| 56.71 | 24 |
| 57.02 | 42 |
| 57.92 | 19 |
| 76.69 | 17 |

Atomic structure:
abc: 7.8949 9.5536 9.6924
angles: 81.29 66.34 66.71
Element x y z (fractional)
La  0.0490  0.2956  0.0983
La  0.1502  0.8996  0.2963
La  0.2498  0.4996  0.4997
La  0.3454  0.1005  0.7026
La  0.4465  0.7017  0.8998
La  0.5535  0.2983  0.1002
La  0.6546  0.8995  0.2974
La  0.7502  0.5004  0.5003
La  0.8498  0.1004  0.7037
La  0.9510  0.7044  0.9017
Mg  0.0000  0.0000  0.0000
Ga  0.1000  0.5996  0.2005
Ga  0.1995  0.2011  0.4005
Ga  0.3016  0.7992  0.5985
Ga  0.3999  0.3996  0.7996
Ga  0.5000  0.0000  0.0000
Ga  0.6001  0.6004  0.2004
Ga  0.6984  0.2008  0.4015
Ga  0.8005  0.7989  0.5995
Ga  0.9000  0.4004  0.7995
O  0.0030  0.1936  0.8712
O  0.0093  0.3329  0.5844
O  0.0361  0.7821  0.6415
O  0.1653  0.4127  0.7560
O  0.1932  0.0176  0.5306
O  0.1979  0.8730  0.8073
O  0.2088  0.3885  0.2726
O  0.2102  0.5320  0.9845
O  0.2429  0.9887  0.0411
O  0.3652  0.6111  0.1572
O  0.3920  0.2177  0.9273
O  0.3943  0.0767  0.2155
O  0.4067  0.5821  0.6684
O  0.4072  0.7321  0.3861
O  0.4314  0.1914  0.4468
O  0.5686  0.8086  0.5532
O  0.5928  0.2679  0.6139
O  0.5933  0.4179  0.3316
O  0.6057  0.9233  0.7845
O  0.6080  0.7823  0.0727
O  0.6348  0.3889  0.8428
O  0.7571  0.0113  0.9589
O  0.7898  0.4680  0.0155
O  0.7912  0.6115  0.7274
O  0.8021  0.1270  0.1927
O  0.8068  0.9824  0.4694
O  0.8347  0.5873  0.2440
O  0.9639  0.2179  0.3585
O  0.9907  0.6671  0.4156
O  0.9970  0.8064  0.1288

(2)
For SrLa11Mg3Ga9O34, a structure optimized by DFT (GGA-PBE) gives the calculated XRD peak list in this record (CuKα).
Intensities are scaled so that the largest is 100.

Most intense lines, 2θ = 10–90°, low angle first:
| two_theta | I (rel.) |
| --- | --- |
| 22.49 | 15 |
| 32.01 | 100 |
| 32.08 | 20 |
| 39.52 | 13 |
| 45.87 | 11 |
| 45.94 | 24 |
| 56.94 | 12 |
| 57.14 | 29 |

Atomic structure:
abc: 5.5993 5.5993 27.3534
angles: 90.05 90.05 59.79
Element x y z (fractional)
Sr  0.0000  0.0000  0.0000
La  0.3217  0.3217  0.8278
La  0.3227  0.3227  0.3288
La  0.3309  0.3309  0.5759
La  0.3424  0.3424  0.0756
La  0.6380  0.6380  0.1675
La  0.6570  0.6570  0.6630
La  0.6642  0.6642  0.4098
La  0.6745  0.6745  0.9072
La  0.9904  0.9904  0.4958
La  0.9910  0.9910  0.2425
La  0.9968  0.9968  0.7409
Mg  0.0156  0.0156  0.1218
Mg  0.6489  0.6489  0.0301
Mg  0.9780  0.9780  0.8634
Ga  0.3234  0.3234  0.2024
Ga  0.3263  0.3263  0.7025
Ga  0.3272  0.3272  0.4524
Ga  0.3494  0.3494  0.9567
Ga  0.6591  0.6591  0.2872
Ga  0.6608  0.6608  0.5361
Ga  0.6608  0.6608  0.7871
Ga  0.9938  0.9938  0.3695
Ga  0.9939  0.9939  0.6187
O  0.0247  0.5256  0.5019
O  0.0352  0.5176  0.0029
O  0.1270  0.6094  0.9032
O  0.1291  0.6280  0.4028
O  0.1322  0.1322  0.4250
O  0.1833  0.6892  0.1694
O  0.1874  0.1874  0.6465
O  0.1925  0.6896  0.6683
O  0.1996  0.1996  0.1483
O  0.2955  0.7953  0.5695
O  0.3003  0.7833  0.0726
O  0.3586  0.8576  0.3360
O  0.3611  0.8655  0.8386
O  0.4579  0.9577  0.2375
O  0.4580  0.9639  0.7360
O  0.4661  0.4661  0.2571
O  0.4699  0.4699  0.7586
O  0.5176  0.0352  0.0029
O  0.5214  0.5214  0.4804
O  0.5256  0.0247  0.5019
O  0.5315  0.5315  0.9742
O  0.6094  0.1270  0.9032
O  0.6280  0.1291  0.4028
O  0.6892  0.1833  0.1694
O  0.6896  0.1925  0.6683
O  0.7833  0.3003  0.0726
O  0.7953  0.2955  0.5695
O  0.7990  0.7990  0.5916
O  0.8499  0.8499  0.8093
O  0.8544  0.8544  0.3138
O  0.8576  0.3586  0.3360
O  0.8655  0.3611  0.8386
O  0.9577  0.4579  0.2375
O  0.9639  0.4580  0.7360

(3)
For SrLa11Mg3Ga9O34, a structure optimized by DFT (GGA-PBE) gives the calculated XRD peak list in this record (CuKα).
Intensities are scaled so that the largest is 100.

Most intense lines, 2θ = 10–90°, low angle first:
| two_theta | I (rel.) |
| --- | --- |
| 22.48 | 38 |
| 31.82 | 51 |
| 31.94 | 95 |
| 32.08 | 100 |
| 32.19 | 53 |
| 45.90 | 86 |
| 56.78 | 32 |
| 56.99 | 22 |

Atomic structure:
abc: 5.5776 5.5845 27.3718
angles: 89.63 89.67 60.52
Element x y z (fractional)
Sr  0.0000  0.0000  0.0000
La  0.0065  0.9968  0.7412
La  0.0183  0.9904  0.4959
La  0.0185  0.9898  0.2426
La  0.3162  0.3399  0.0763
La  0.3393  0.3302  0.5764
La  0.3534  0.3225  0.3288
La  0.3559  0.3237  0.8279
La  0.6507  0.6720  0.9077
La  0.6727  0.6635  0.4102
La  0.6850  0.6569  0.6630
La  0.7213  0.6366  0.1673
Mg  0.0437  0.9776  0.8637
Mg  0.7024  0.6471  0.0306
Mg  0.9691  0.0151  0.1221
Ga  0.0124  0.9934  0.3696
Ga  0.0123  0.9933  0.6190
Ga  0.3003  0.3503  0.9569
Ga  0.3456  0.3268  0.4526
Ga  0.3478  0.3256  0.7027
Ga  0.3520  0.3251  0.2024
Ga  0.6787  0.6604  0.5362
Ga  0.6787  0.6609  0.7873
Ga  0.6810  0.6591  0.2872
O  0.0588  0.4698  0.7585
O  0.0662  0.4676  0.2567
O  0.1121  0.2061  0.6665
O  0.1195  0.1997  0.1676
O  0.1275  0.6958  0.6700
O  0.1440  0.6954  0.1705
O  0.2326  0.6206  0.4013
O  0.2479  0.1139  0.4052
O  0.2569  0.6076  0.9017
O  0.2674  0.1189  0.9054
O  0.2917  0.8537  0.3143
O  0.2999  0.8481  0.8096
O  0.4006  0.7994  0.5914
O  0.4443  0.5400  0.4998
O  0.4475  0.5241  0.9995
O  0.4525  0.0401  0.0058
O  0.4596  0.0315  0.5037
O  0.5694  0.9571  0.7345
O  0.5738  0.9497  0.2360
O  0.5822  0.4444  0.7383
O  0.5896  0.4423  0.2399
O  0.6016  0.1966  0.1490
O  0.6260  0.1870  0.6468
O  0.7342  0.1326  0.4247
O  0.7682  0.8752  0.8372
O  0.7776  0.8729  0.3339
O  0.7804  0.3634  0.8404
O  0.7944  0.3655  0.3377
O  0.8991  0.2885  0.5680
O  0.9025  0.2991  0.0718
O  0.9144  0.7805  0.5718
O  0.9229  0.7711  0.0748
O  0.9392  0.5317  0.9745
O  0.9583  0.5207  0.4808

Copy entry 2 word for word.
For SrLa11Mg3Ga9O34, a structure optimized by DFT (GGA-PBE) gives the calculated XRD peak list in this record (CuKα).
Intensities are scaled so that the largest is 100.

Most intense lines, 2θ = 10–90°, low angle first:
| two_theta | I (rel.) |
| --- | --- |
| 22.49 | 15 |
| 32.01 | 100 |
| 32.08 | 20 |
| 39.52 | 13 |
| 45.87 | 11 |
| 45.94 | 24 |
| 56.94 | 12 |
| 57.14 | 29 |

Atomic structure:
abc: 5.5993 5.5993 27.3534
angles: 90.05 90.05 59.79
Element x y z (fractional)
Sr  0.0000  0.0000  0.0000
La  0.3217  0.3217  0.8278
La  0.3227  0.3227  0.3288
La  0.3309  0.3309  0.5759
La  0.3424  0.3424  0.0756
La  0.6380  0.6380  0.1675
La  0.6570  0.6570  0.6630
La  0.6642  0.6642  0.4098
La  0.6745  0.6745  0.9072
La  0.9904  0.9904  0.4958
La  0.9910  0.9910  0.2425
La  0.9968  0.9968  0.7409
Mg  0.0156  0.0156  0.1218
Mg  0.6489  0.6489  0.0301
Mg  0.9780  0.9780  0.8634
Ga  0.3234  0.3234  0.2024
Ga  0.3263  0.3263  0.7025
Ga  0.3272  0.3272  0.4524
Ga  0.3494  0.3494  0.9567
Ga  0.6591  0.6591  0.2872
Ga  0.6608  0.6608  0.5361
Ga  0.6608  0.6608  0.7871
Ga  0.9938  0.9938  0.3695
Ga  0.9939  0.9939  0.6187
O  0.0247  0.5256  0.5019
O  0.0352  0.5176  0.0029
O  0.1270  0.6094  0.9032
O  0.1291  0.6280  0.4028
O  0.1322  0.1322  0.4250
O  0.1833  0.6892  0.1694
O  0.1874  0.1874  0.6465
O  0.1925  0.6896  0.6683
O  0.1996  0.1996  0.1483
O  0.2955  0.7953  0.5695
O  0.3003  0.7833  0.0726
O  0.3586  0.8576  0.3360
O  0.3611  0.8655  0.8386
O  0.4579  0.9577  0.2375
O  0.4580  0.9639  0.7360
O  0.4661  0.4661  0.2571
O  0.4699  0.4699  0.7586
O  0.5176  0.0352  0.0029
O  0.5214  0.5214  0.4804
O  0.5256  0.0247  0.5019
O  0.5315  0.5315  0.9742
O  0.6094  0.1270  0.9032
O  0.6280  0.1291  0.4028
O  0.6892  0.1833  0.1694
O  0.6896  0.1925  0.6683
O  0.7833  0.3003  0.0726
O  0.7953  0.2955  0.5695
O  0.7990  0.7990  0.5916
O  0.8499  0.8499  0.8093
O  0.8544  0.8544  0.3138
O  0.8576  0.3586  0.3360
O  0.8655  0.3611  0.8386
O  0.9577  0.4579  0.2375
O  0.9639  0.4580  0.7360